For Sc7Sn3, a crystal structure in Alexandria, relaxed with PBE gives the calculated powder X-ray diffraction pattern in this record (Cu Kα (weighted mean of Kα1 and Kα2)).

Most intense lines, 2θ = 10–90°, in order of falling intensity:
34.18°, I 100; 34.59°, I 94; 39.22°, I 64; 41.28°, I 28; 20.30°, I 26; 58.27°, I 20; 20.13°, I 18; 56.66°, I 16; 27.45°, I 16; 23.50°, I 14

```
Sc7Sn3
1.0
8.2319 -2.2953 0.0000
8.2319 2.2953 0.0000
-1.5098 0.0000 6.1100
Sc Sn
7 3
direct
0.0000 0.0000 0.0000
0.2078 0.2078 0.6320
0.3821 0.3821 0.1590
0.4134 0.4134 0.6804
0.5866 0.5866 0.3196
0.6179 0.6179 0.8410
0.7922 0.7922 0.3680
0.0000 0.0000 0.5000
0.1863 0.1863 0.1377
0.8137 0.8137 0.8623
```



For Sc5Sn, a crystal structure in Alexandria, relaxed with PBE gives the calculated powder X-ray diffraction pattern in this record (Cu Kα (weighted mean of Kα1 and Kα2)).

Most intense lines, 2θ = 10–90°, in order of falling intensity:
34.20°, I 100; 40.00°, I 32; 68.95°, I 23; 57.17°, I 22; 39.11°, I 17; 67.73°, I 12; 12.81°, I 12; 72.04°, I 11; 57.85°, I 10; 23.57°, I 7

```
Sc5Sn
1.0
4.5106 0.0000 0.0000
0.0000 13.8203 0.0000
0.0000 0.0000 4.5064
Sc Sn
10 2
direct
0.0000 0.0000 0.0000
0.0000 0.1619 0.5000
0.0000 0.3298 0.0000
0.0000 0.6702 0.0000
0.0000 0.8381 0.5000
0.5000 0.1702 0.0000
0.5000 0.3381 0.5000
0.5000 0.5000 0.0000
0.5000 0.6619 0.5000
0.5000 0.8298 0.0000
0.0000 0.5000 0.5000
0.5000 0.0000 0.5000
```



For Sc6Sn5, a crystal structure in Alexandria, relaxed with PBE gives the calculated powder X-ray diffraction pattern in this record (Cu Kα (weighted mean of Kα1 and Kα2)).

Most intense lines, 2θ = 10–90°, in order of falling intensity:
34.29°, I 100; 33.34°, I 62; 35.02°, I 53; 25.31°, I 39; 25.75°, I 34; 70.45°, I 29; 29.47°, I 27; 35.88°, I 25; 49.85°, I 22; 22.07°, I 21

```
Sc6Sn5
1.0
-4.4394 9.5732 3.0305
4.4394 -9.5732 3.0305
4.4394 9.5732 -3.0305
Sc Sn
12 10
direct
0.0564 0.2500 0.8064
0.0622 0.2384 0.3006
0.1420 0.6143 0.7563
0.3580 0.1143 0.4722
0.4378 0.7384 0.1762
0.4436 0.2500 0.1936
0.5564 0.7500 0.8064
0.5622 0.2616 0.8238
0.6420 0.8857 0.5278
0.8580 0.3857 0.2437
0.9378 0.7616 0.6994
0.9436 0.7500 0.1936
0.0719 0.9024 0.9743
0.2084 0.3026 0.5110
0.2500 0.7500 0.5000
0.2916 0.8026 0.0942
0.4281 0.4024 0.8305
0.5719 0.5976 0.1695
0.7084 0.1974 0.9058
0.7500 0.2500 0.5000
0.7916 0.6974 0.4890
0.9281 0.0976 0.0257
```



For Sc8Sn, a crystal structure in Alexandria, relaxed with PBE gives the calculated powder X-ray diffraction pattern in this record (Cu Kα (weighted mean of Kα1 and Kα2)).

Most intense lines, 2θ = 10–90°, in order of falling intensity:
33.99°, I 100; 38.88°, I 34; 67.29°, I 25; 57.46°, I 20; 40.59°, I 15; 12.74°, I 12; 69.65°, I 11; 56.15°, I 11; 71.56°, I 10; 28.56°, I 8

```
Sc8Sn
1.0
-4.9142 4.9142 2.2224
4.9142 -4.9142 2.2224
4.9142 4.9142 -2.2224
Sc Sn
8 1
direct
0.0000 0.3352 0.3352
0.0000 0.6648 0.6648
0.3352 0.0000 0.3352
0.3370 0.3370 0.6740
0.3370 0.6630 0.0000
0.6630 0.3370 0.0000
0.6630 0.6630 0.3260
0.6648 0.0000 0.6648
0.0000 0.0000 0.0000
```